No. 1
# PuB2Ru
Computed powder diffraction line list, Cu Kα X-rays. Input: DFT lattice parameters and positions (GGA-PBE).
Peak positions follow from Bragg's law for the DFT cell and can differ from measured ones.

Structural model:
```
data_PuB2Ru
_chemical_formula_sum 'Pu4 B8 Ru4'
_cell_length_a 5.7563
_cell_length_b 5.3850
_cell_length_c 6.4305
_cell_angle_alpha 90.00
_cell_angle_beta 90.00
_cell_angle_gamma 90.00
_space_group_name_H-M_alt 'P n m a'
_space_group_IT_number 62
loop_
_space_group_symop_operation_xyz
'x,y,z'
'-x,-y,-z'
'-x+1/2,-y,z+1/2'
'x+1/2,y,-z+1/2'
'x+1/2,-y+1/2,-z+1/2'
'-x+1/2,y+1/2,z+1/2'
'-x,y+1/2,-z'
'x,-y+1/2,z'
loop_
_atom_site_label
_atom_site_type_symbol
_atom_site_fract_x
_atom_site_fract_y
_atom_site_fract_z
Pu1 Pu 0.0005 0.2500 0.1627
B1 B 0.1293 0.0867 0.5369
Ru1 Ru 0.1926 0.7500 0.3159
```

The 10 most intense peaks (10° ≤ 2θ ≤ 80°), low angle first:
2θ (°)  d [Å]  Rel. int.  h k l
20.71  4.289  27.2  1 0 1
21.52  4.129  28.5  0 1 1
27.75  3.215  20.3  0 0 2
33.28  2.693  53.3  0 2 0
36.08  2.489  89.3  1 1 2
38.11  2.361  100.0  2 1 1
57.23  1.610  18.8  1 2 3
61.30  1.512  18.8  1 3 2
62.69  1.482  23.8  2 3 1
75.26  1.263  20.0  3 2 3


No. 2
# PuB4Ru
Computed powder diffraction line list, Cu Kα X-rays. Input: DFT lattice parameters and positions (GGA-PBE).
Peak positions follow from Bragg's law for the DFT cell and can differ from measured ones.

Structural model:
```
data_PuB4Ru
_chemical_formula_sum 'Pu4 B16 Ru4'
_cell_length_a 5.9823
_cell_length_b 11.5877
_cell_length_c 3.5259
_cell_angle_alpha 90.00
_cell_angle_beta 90.00
_cell_angle_gamma 90.00
_space_group_name_H-M_alt 'P b a m'
_space_group_IT_number 55
loop_
_space_group_symop_operation_xyz
'x,y,z'
'-x,-y,-z'
'-x,-y,z'
'x,y,-z'
'x+1/2,-y+1/2,-z'
'-x+1/2,y+1/2,z'
'-x+1/2,y+1/2,-z'
'x+1/2,-y+1/2,z'
loop_
_atom_site_label
_atom_site_type_symbol
_atom_site_fract_x
_atom_site_fract_y
_atom_site_fract_z
Pu1 Pu 0.1266 0.1500 0.0000
B1 B 0.0283 0.6911 0.5000
B2 B 0.1146 0.5461 0.5000
B3 B 0.1348 0.9677 0.5000
B4 B 0.2146 0.8132 0.5000
Ru1 Ru 0.1373 0.4083 0.0000
```

The 10 most intense peaks (10° ≤ 2θ ≤ 80°), low angle first:
2θ (°)  d [Å]  Rel. int.  h k l
25.26  3.526  75.8  0 0 1
27.49  3.245  25.9  1 3 0
30.87  2.896  87.2  0 4 0
34.40  2.607  17.1  1 4 0
37.67  2.388  27.4  1 3 1
40.30  2.238  100.0  0 4 1
43.15  2.096  21.7  1 4 1
46.22  1.964  22.2  2 3 1
56.63  1.625  17.8  2 5 1
61.58  1.506  25.6  0 4 2


No. 3
# Pu2B6Ru
Computed powder diffraction line list, Cu Kα X-rays. Input: DFT lattice parameters and positions (GGA-PBE).
Peak positions follow from Bragg's law for the DFT cell and can differ from measured ones.

Structural model:
```
data_Pu2B6Ru
_chemical_formula_sum 'Pu8 B24 Ru4'
_cell_length_a 9.3923
_cell_length_b 11.4478
_cell_length_c 3.5674
_cell_angle_alpha 90.00
_cell_angle_beta 90.00
_cell_angle_gamma 90.00
_space_group_name_H-M_alt 'P b a m'
_space_group_IT_number 55
loop_
_space_group_symop_operation_xyz
'x,y,z'
'-x,-y,-z'
'-x,-y,z'
'x,y,-z'
'x+1/2,-y+1/2,-z'
'-x+1/2,y+1/2,z'
'-x+1/2,y+1/2,-z'
'x+1/2,-y+1/2,z'
loop_
_atom_site_label
_atom_site_type_symbol
_atom_site_fract_x
_atom_site_fract_y
_atom_site_fract_z
Pu1 Pu 0.0443 0.1067 0.0000
Pu2 Pu 0.1628 0.4070 0.0000
B1 B 0.0107 0.2815 0.5000
B2 B 0.0517 0.5691 0.5000
B3 B 0.1462 0.8109 0.5000
B4 B 0.1461 0.9592 0.5000
B5 B 0.1973 0.2253 0.5000
B6 B 0.2424 0.5763 0.5000
Ru1 Ru 0.1453 0.6796 0.0000
```

The 10 most intense peaks (10° ≤ 2θ ≤ 80°), low angle first:
2θ (°)  d [Å]  Rel. int.  h k l
24.96  3.567  100.0  0 0 1
29.58  3.020  60.9  3 1 0
30.18  2.962  50.0  2 3 0
31.25  2.862  30.8  0 4 0
39.08  2.305  67.3  3 1 1
39.55  2.279  57.3  2 3 1
40.40  2.232  35.5  0 4 1
41.54  2.174  31.0  1 4 1
51.20  1.784  36.9  0 0 2
57.76  1.596  17.0  5 2 1


No. 4
# PuTcB2
Computed powder diffraction line list, Cu Kα X-rays. Input: DFT lattice parameters and positions (GGA-PBE).
Peak positions follow from Bragg's law for the DFT cell and can differ from measured ones.

Structural model:
```
data_PuTcB2
_chemical_formula_sum 'Pu4 Tc4 B8'
_cell_length_a 5.8052
_cell_length_b 5.3970
_cell_length_c 6.4018
_cell_angle_alpha 90.00
_cell_angle_beta 90.00
_cell_angle_gamma 90.00
_space_group_name_H-M_alt 'P n m a'
_space_group_IT_number 62
loop_
_space_group_symop_operation_xyz
'x,y,z'
'-x,-y,-z'
'-x+1/2,-y,z+1/2'
'x+1/2,y,-z+1/2'
'x+1/2,-y+1/2,-z+1/2'
'-x+1/2,y+1/2,z+1/2'
'-x,y+1/2,-z'
'x,-y+1/2,z'
loop_
_atom_site_label
_atom_site_type_symbol
_atom_site_fract_x
_atom_site_fract_y
_atom_site_fract_z
Pu1 Pu 0.0009 0.2500 0.1597
Tc1 Tc 0.1883 0.2500 0.6836
B1 B 0.1293 0.5825 0.4638
```

The 10 most intense peaks (10° ≤ 2θ ≤ 80°), low angle first:
2θ (°)  d [Å]  Rel. int.  h k l
20.65  4.300  30.3  1 0 1
21.54  4.126  29.8  0 1 1
27.87  3.201  18.3  0 0 2
33.20  2.698  54.8  0 2 0
36.11  2.488  96.9  1 1 2
37.90  2.374  100.0  2 1 1
45.28  2.003  18.5  1 0 3
61.22  1.514  20.5  1 3 2
62.44  1.487  23.7  2 3 1
75.03  1.266  21.0  3 2 3


No. 5
# PuTcB4
Computed powder diffraction line list, Cu Kα X-rays. Input: DFT lattice parameters and positions (GGA-PBE).
Peak positions follow from Bragg's law for the DFT cell and can differ from measured ones.

Structural model:
```
data_PuTcB4
_chemical_formula_sum 'Pu4 Tc4 B16'
_cell_length_a 5.9776
_cell_length_b 11.5568
_cell_length_c 3.5724
_cell_angle_alpha 90.00
_cell_angle_beta 90.00
_cell_angle_gamma 90.00
_space_group_name_H-M_alt 'P b a m'
_space_group_IT_number 55
loop_
_space_group_symop_operation_xyz
'x,y,z'
'-x,-y,-z'
'-x,-y,z'
'x,y,-z'
'x+1/2,-y+1/2,-z'
'-x+1/2,y+1/2,z'
'-x+1/2,y+1/2,-z'
'x+1/2,-y+1/2,z'
loop_
_atom_site_label
_atom_site_type_symbol
_atom_site_fract_x
_atom_site_fract_y
_atom_site_fract_z
Pu1 Pu 0.1266 0.1501 0.0000
Tc1 Tc 0.1353 0.4094 0.0000
B1 B 0.0256 0.6918 0.5000
B2 B 0.1138 0.5466 0.5000
B3 B 0.1353 0.9680 0.5000
B4 B 0.2130 0.8133 0.5000
```

The 10 most intense peaks (10° ≤ 2θ ≤ 80°), low angle first:
2θ (°)  d [Å]  Rel. int.  h k l
21.39  4.155  17.1  1 2 0
24.92  3.572  77.6  0 0 1
27.55  3.238  26.6  1 3 0
30.92  2.892  85.7  0 4 0
34.48  2.601  17.0  1 4 0
37.49  2.399  28.5  1 3 1
40.12  2.248  100.0  0 4 1
43.01  2.103  22.1  1 4 1
46.08  1.970  21.6  2 3 1
60.97  1.520  26.1  0 4 2


No. 6
# PuB4W
Computed powder diffraction line list, Cu Kα X-rays. Input: DFT lattice parameters and positions (GGA-PBE).
Peak positions follow from Bragg's law for the DFT cell and can differ from measured ones.

Structural model:
```
data_PuB4W
_chemical_formula_sum 'Pu4 B16 W4'
_cell_length_a 6.0240
_cell_length_b 11.7104
_cell_length_c 3.6263
_cell_angle_alpha 90.00
_cell_angle_beta 90.00
_cell_angle_gamma 90.00
_space_group_name_H-M_alt 'P b a m'
_space_group_IT_number 55
loop_
_space_group_symop_operation_xyz
'x,y,z'
'-x,-y,-z'
'-x,-y,z'
'x,y,-z'
'x+1/2,-y+1/2,-z'
'-x+1/2,y+1/2,z'
'-x+1/2,y+1/2,-z'
'x+1/2,-y+1/2,z'
loop_
_atom_site_label
_atom_site_type_symbol
_atom_site_fract_x
_atom_site_fract_y
_atom_site_fract_z
Pu1 Pu 0.1249 0.1503 0.0000
B1 B 0.0268 0.6928 0.5000
B2 B 0.1158 0.5473 0.5000
B3 B 0.1338 0.9676 0.5000
B4 B 0.2139 0.8128 0.5000
W1 W 0.1321 0.4138 0.0000
```

The 10 most intense peaks (10° ≤ 2θ ≤ 80°), low angle first:
2θ (°)  d [Å]  Rel. int.  h k l
24.55  3.626  93.8  0 0 1
30.54  2.928  30.0  0 4 0
30.65  2.917  56.2  2 1 0
34.05  2.633  23.5  1 4 0
36.98  2.431  22.9  1 3 1
37.72  2.385  26.0  2 3 0
39.62  2.275  100.0  0 4 1
42.42  2.131  29.6  1 4 1
45.53  1.992  34.9  2 3 1
60.06  1.540  27.0  0 4 2


No. 7
# Rb4B9S9
Computed powder diffraction line list, Cu Kα X-rays. Input: DFT lattice parameters and positions (GGA-PBE).
Peak positions follow from Bragg's law for the DFT cell and can differ from measured ones.

Structural model:
```
data_Rb4B9S9
_chemical_formula_sum 'Rb8 B18 S18'
_cell_length_a 10.1816
_cell_length_b 10.3411
_cell_length_c 10.8075
_cell_angle_alpha 92.16
_cell_angle_beta 104.39
_cell_angle_gamma 109.64
_space_group_name_H-M_alt 'P -1'
_space_group_IT_number 2
loop_
_space_group_symop_operation_xyz
'x,y,z'
'-x,-y,-z'
loop_
_atom_site_label
_atom_site_type_symbol
_atom_site_fract_x
_atom_site_fract_y
_atom_site_fract_z
Rb1 Rb 0.1142 0.3737 0.1290
Rb2 Rb 0.1470 0.0073 0.3748
Rb3 Rb 0.2517 0.6226 0.4708
Rb4 Rb 0.3184 0.3804 0.7521
B1 B 0.1368 0.8196 0.6880
B2 B 0.1701 0.7641 0.1439
B3 B 0.3325 0.9664 0.0187
B4 B 0.3677 0.8567 0.9120
B5 B 0.3736 0.0238 0.8741
B6 B 0.4262 0.2586 0.2540
B7 B 0.4380 0.8648 0.0823
B8 B 0.4515 0.1403 0.0230
B9 B 0.4908 0.0411 0.1485
S1 S 0.0142 0.2577 0.4488
S2 S 0.0269 0.6601 0.2027
S3 S 0.1539 0.9097 0.0554
S4 S 0.2147 0.7146 0.7976
S5 S 0.2229 0.0116 0.7284
S6 S 0.3406 0.7272 0.1682
S7 S 0.4033 0.3716 0.3664
S8 S 0.4079 0.2887 0.0823
S9 S 0.4746 0.1077 0.3042
```

The 10 most intense peaks (10° ≤ 2θ ≤ 80°), low angle first:
2θ (°)  d [Å]  Rel. int.  h k l
19.53  4.546  83.1  1 -2 1
26.08  3.416  49.8  1 2 -2
26.19  3.403  73.3  0 1 -3
27.73  3.217  100.0  0 3 0
28.33  3.150  70.1  3 -2 0
30.01  2.977  72.0  1 0 3
30.14  2.965  57.8  -3 2 2
31.73  2.820  52.9  -1 3 2
32.56  2.750  55.3  -3 1 3
33.82  2.651  57.5  0 2 3


No. 8
# Rb3BS3
Computed powder diffraction line list, Cu Kα X-rays. Input: DFT lattice parameters and positions (GGA-PBE).
Peak positions follow from Bragg's law for the DFT cell and can differ from measured ones.

Structural model:
```
data_Rb3BS3
_chemical_formula_sum 'Rb12 B4 S12'
_cell_length_a 10.5323
_cell_length_b 6.4696
_cell_length_c 13.2406
_cell_angle_alpha 90.00
_cell_angle_beta 104.53
_cell_angle_gamma 90.00
_space_group_name_H-M_alt 'P 1 21/c 1'
_space_group_IT_number 14
loop_
_space_group_symop_operation_xyz
'x,y,z'
'-x,-y,-z'
'-x,y+1/2,-z+1/2'
'x,-y+1/2,z+1/2'
loop_
_atom_site_label
_atom_site_type_symbol
_atom_site_fract_x
_atom_site_fract_y
_atom_site_fract_z
Rb1 Rb 0.0277 0.2139 0.3589
Rb2 Rb 0.2521 0.6431 0.4920
Rb3 Rb 0.4051 0.0624 0.3042
B1 B 0.2341 0.1170 0.6277
S1 S 0.0911 0.2155 0.1222
S2 S 0.2857 0.5756 0.2327
S3 S 0.3303 0.1470 0.5304
```

The 10 most intense peaks (10° ≤ 2θ ≤ 80°), low angle first:
2θ (°)  d [Å]  Rel. int.  h k l
21.91  4.056  28.2  2 1 -1
22.76  3.906  19.5  1 1 2
24.94  3.570  62.3  2 0 2
26.22  3.399  19.9  3 0 0
28.48  3.134  34.0  0 2 1
28.95  3.084  100.0  2 0 -4
29.69  3.009  44.2  3 1 0
30.34  2.946  36.4  1 2 1
31.29  2.859  20.4  1 0 4
32.03  2.794  25.8  3 1 1


No. 9
# RbBSe3
Computed powder diffraction line list, Cu Kα X-rays. Input: DFT lattice parameters and positions (GGA-PBE).
Peak positions follow from Bragg's law for the DFT cell and can differ from measured ones.

Structural model:
```
data_RbBSe3
_chemical_formula_sum 'Rb4 B4 Se12'
_cell_length_a 7.5040
_cell_length_b 12.7012
_cell_length_c 6.2838
_cell_angle_alpha 90.00
_cell_angle_beta 104.66
_cell_angle_gamma 90.00
_space_group_name_H-M_alt 'P 1 21/c 1'
_space_group_IT_number 14
loop_
_space_group_symop_operation_xyz
'x,y,z'
'-x,-y,-z'
'-x,y+1/2,-z+1/2'
'x,-y+1/2,z+1/2'
loop_
_atom_site_label
_atom_site_type_symbol
_atom_site_fract_x
_atom_site_fract_y
_atom_site_fract_z
Rb1 Rb 0.2419 0.0778 0.2901
B1 B 0.2060 0.7319 0.1905
Se1 Se 0.0478 0.6966 0.8799
Se2 Se 0.3040 0.5924 0.3411
Se3 Se 0.4397 0.6793 0.6831
```

The 10 most intense peaks (10° ≤ 2θ ≤ 80°), low angle first:
2θ (°)  d [Å]  Rel. int.  h k l
14.05  6.303  32.6  1 1 0
22.44  3.962  19.9  1 1 1
28.32  3.151  39.6  2 2 0
28.90  3.089  100.0  2 2 -1
29.38  3.040  20.3  0 0 2
31.79  2.815  75.6  0 4 1
34.80  2.578  28.6  1 0 2
35.51  2.528  17.4  1 1 2
36.27  2.476  17.4  2 2 -2
49.87  1.829  18.2  2 6 0